No. 1
Diffraction record for Ca2CdSb2. The powder diffraction line list is theoretical, not measured: it uses a PBE-relaxed structure and copper Kα.
No peak broadening, texture or thermal motion is included.

Most intense lines, 10 to 90 degrees two-theta, most intense first:
31.8 deg, rel. 100.0; 34.6 deg, rel. 59.6; 24.2 deg, rel. 54.1; 38.7 deg, rel. 44.8; 23.5 deg, rel. 32.9; 42.5 deg, rel. 29.7

Structural model:
Unit cell a=7.3446 b=4.6581 c=17.6807 alpha=90.00 beta=90.00 gamma=90.00
Element x y z (fractional)
Ca  0.0353  0.2500  0.2278
Ca  0.2285  0.2500  0.4467
Ca  0.2715  0.7500  0.9467
Ca  0.4647  0.7500  0.7278
Ca  0.5353  0.2500  0.2722
Ca  0.7285  0.2500  0.0533
Ca  0.7715  0.7500  0.5533
Ca  0.9647  0.7500  0.7722
Cd  0.1372  0.2500  0.6508
Cd  0.3628  0.7500  0.1508
Cd  0.6372  0.2500  0.8492
Cd  0.8628  0.7500  0.3492
Sb  0.2420  0.2500  0.0707
Sb  0.2444  0.2500  0.8168
Sb  0.2556  0.7500  0.3168
Sb  0.2580  0.7500  0.5707
Sb  0.7420  0.2500  0.4293
Sb  0.7444  0.2500  0.6832
Sb  0.7556  0.7500  0.1832
Sb  0.7580  0.7500  0.9293

No. 2
Diffraction record for CaSmCd2. The powder diffraction line list is theoretical, not measured: it uses a PBE-relaxed structure and copper Kα.
No peak broadening, texture or thermal motion is included.

Most intense lines, 10 to 90 degrees two-theta, most intense first:
33.1 deg, rel. 100.0; 59.2 deg, rel. 36.0; 47.6 deg, rel. 17.7; 79.2 deg, rel. 15.1; 20.1 deg, rel. 14.5; 69.5 deg, rel. 10.9

Structural model:
Unit cell a=7.6465 b=7.6465 c=7.6465 alpha=90.00 beta=90.00 gamma=90.00
Element x y z (fractional)
Ca  0.0000  0.0000  0.0000
Ca  0.0000  0.5000  0.5000
Ca  0.5000  0.0000  0.5000
Ca  0.5000  0.5000  0.0000
Sm  0.0000  0.0000  0.5000
Sm  0.0000  0.5000  0.0000
Sm  0.5000  0.0000  0.0000
Sm  0.5000  0.5000  0.5000
Cd  0.2500  0.2500  0.2500
Cd  0.2500  0.2500  0.7500
Cd  0.2500  0.7500  0.2500
Cd  0.2500  0.7500  0.7500
Cd  0.7500  0.2500  0.2500
Cd  0.7500  0.2500  0.7500
Cd  0.7500  0.7500  0.2500
Cd  0.7500  0.7500  0.7500

No. 3
Diffraction record for CaCdSn. The powder diffraction line list is theoretical, not measured: it uses a PBE-relaxed structure and copper Kα.
No peak broadening, texture or thermal motion is included.

Most intense lines, 10 to 90 degrees two-theta, most intense first:
40.4 deg, rel. 100.0; 32.8 deg, rel. 83.3; 29.9 deg, rel. 52.7; 63.7 deg, rel. 47.8; 23.0 deg, rel. 40.3; 35.5 deg, rel. 32.3

Structural model:
Unit cell a=7.7272 b=7.7272 c=4.7251 alpha=90.00 beta=90.00 gamma=120.00
Element x y z (fractional)
Ca  0.0000  0.5776  0.0000
Ca  0.4224  0.4224  0.0000
Ca  0.5776  0.0000  0.0000
Cd  0.0000  0.2531  0.5000
Cd  0.2531  0.0000  0.5000
Cd  0.7469  0.7469  0.5000
Sn  0.0000  0.0000  0.0000
Sn  0.3333  0.6667  0.5000
Sn  0.6667  0.3333  0.5000

No. 4
Diffraction record for CaTmCd2. The powder diffraction line list is theoretical, not measured: it uses a PBE-relaxed structure and copper Kα.
No peak broadening, texture or thermal motion is included.

Most intense lines, 10 to 90 degrees two-theta, most intense first:
33.7 deg, rel. 100.0; 60.3 deg, rel. 35.8; 20.5 deg, rel. 18.2; 48.4 deg, rel. 17.7; 80.8 deg, rel. 15.2; 70.9 deg, rel. 10.9

Structural model:
Unit cell a=7.5204 b=7.5204 c=7.5204 alpha=90.00 beta=90.00 gamma=90.00
Element x y z (fractional)
Ca  0.0000  0.0000  0.0000
Ca  0.0000  0.5000  0.5000
Ca  0.5000  0.0000  0.5000
Ca  0.5000  0.5000  0.0000
Tm  0.0000  0.0000  0.5000
Tm  0.0000  0.5000  0.0000
Tm  0.5000  0.0000  0.0000
Tm  0.5000  0.5000  0.5000
Cd  0.2500  0.2500  0.2500
Cd  0.2500  0.2500  0.7500
Cd  0.2500  0.7500  0.2500
Cd  0.2500  0.7500  0.7500
Cd  0.7500  0.2500  0.2500
Cd  0.7500  0.2500  0.7500
Cd  0.7500  0.7500  0.2500
Cd  0.7500  0.7500  0.7500

No. 5
Diffraction record for Ca2ZnCd. The powder diffraction line list is theoretical, not measured: it uses a PBE-relaxed structure and copper Kα.
No peak broadening, texture or thermal motion is included.

Most intense lines, 10 to 90 degrees two-theta, most intense first:
33.6 deg, rel. 100.0; 60.1 deg, rel. 34.0; 48.3 deg, rel. 17.1; 23.6 deg, rel. 16.7; 80.6 deg, rel. 13.9; 70.7 deg, rel. 10.2

Structural model:
Unit cell a=7.5405 b=7.5405 c=7.5405 alpha=90.00 beta=90.00 gamma=90.00
Element x y z (fractional)
Ca  0.2500  0.2500  0.2500
Ca  0.2500  0.2500  0.7500
Ca  0.2500  0.7500  0.2500
Ca  0.2500  0.7500  0.7500
Ca  0.7500  0.2500  0.2500
Ca  0.7500  0.2500  0.7500
Ca  0.7500  0.7500  0.2500
Ca  0.7500  0.7500  0.7500
Zn  0.0000  0.0000  0.0000
Zn  0.0000  0.5000  0.5000
Zn  0.5000  0.0000  0.5000
Zn  0.5000  0.5000  0.0000
Cd  0.0000  0.0000  0.5000
Cd  0.0000  0.5000  0.0000
Cd  0.5000  0.0000  0.0000
Cd  0.5000  0.5000  0.5000

No. 6
Diffraction record for CaCeEuGeO6. The powder diffraction line list is theoretical, not measured: it uses a PBE-relaxed structure and copper Kα.
No peak broadening, texture or thermal motion is included.

Most intense lines, 10 to 90 degrees two-theta, most intense first:
30.5 deg, rel. 100.0; 54.1 deg, rel. 39.2; 43.6 deg, rel. 32.2; 18.5 deg, rel. 21.6; 88.1 deg, rel. 21.3; 63.4 deg, rel. 19.3

Structural model:
Unit cell a=5.8688 b=5.8688 c=5.8688 alpha=60.00 beta=60.00 gamma=60.00
Element x y z (fractional)
Ca  0.0000  0.0000  0.0000
Ce  0.7500  0.7500  0.7500
Eu  0.5000  0.5000  0.5000
Ge  0.2500  0.2500  0.2500
O  0.0214  0.0214  0.4786
O  0.0214  0.4786  0.0214
O  0.0214  0.4786  0.4786
O  0.4786  0.0214  0.0214
O  0.4786  0.0214  0.4786
O  0.4786  0.4786  0.0214

What did the fifth record say?
Diffraction record for Ca2ZnCd. The powder diffraction line list is theoretical, not measured: it uses a PBE-relaxed structure and copper Kα.
No peak broadening, texture or thermal motion is included.

Most intense lines, 10 to 90 degrees two-theta, most intense first:
33.6 deg, rel. 100.0; 60.1 deg, rel. 34.0; 48.3 deg, rel. 17.1; 23.6 deg, rel. 16.7; 80.6 deg, rel. 13.9; 70.7 deg, rel. 10.2

Structural model:
Unit cell a=7.5405 b=7.5405 c=7.5405 alpha=90.00 beta=90.00 gamma=90.00
Element x y z (fractional)
Ca  0.2500  0.2500  0.2500
Ca  0.2500  0.2500  0.7500
Ca  0.2500  0.7500  0.2500
Ca  0.2500  0.7500  0.7500
Ca  0.7500  0.2500  0.2500
Ca  0.7500  0.2500  0.7500
Ca  0.7500  0.7500  0.2500
Ca  0.7500  0.7500  0.7500
Zn  0.0000  0.0000  0.0000
Zn  0.0000  0.5000  0.5000
Zn  0.5000  0.0000  0.5000
Zn  0.5000  0.5000  0.0000
Cd  0.0000  0.0000  0.5000
Cd  0.0000  0.5000  0.0000
Cd  0.5000  0.0000  0.0000
Cd  0.5000  0.5000  0.5000